Record 1
This entry pairs a crystal structure of DySn4Pd15 with its simulated X-ray diffraction stick pattern. Radiation: Cu Kα X-rays. Structure: the PBE geometry in Alexandria.
Lines closer than 0.1° are merged.

Top 10 peaks for 10° ≤ 2θ ≤ 90°, low angle first:
- 2θ 21.91, 4.057 Å, I 0.6, (0 0 5)
- 2θ 31.17, 2.869 Å, I 0.5, (1 0 5)
- 2θ 38.43, 2.343 Å, I 100.0, (1 1 5)
- 2θ 44.61, 2.031 Å, I 32.9, (2 0 0)
- 2θ 44.78, 2.024 Å, I 15.9, (0 0 10)
- 2θ 64.93, 1.436 Å, I 10.6, (2 2 0)
- 2θ 65.06, 1.434 Å, I 20.7, (2 0 10)
- 2θ 78.04, 1.224 Å, I 25.0, (3 1 5)
- 2θ 78.29, 1.221 Å, I 11.9, (1 1 15)
- 2θ 82.32, 1.171 Å, I 10.8, (2 2 10)

Structure:
abc: 4.0623 4.0623 20.2389
angles: 90.00 90.00 90.00
Space group P4/mmm (No. 123)
Inequivalent atoms, fractional coordinates:
Dy: 0.0000 0.0000 0.0000 [1 per cell]
Sn: 0.0000 0.0000 0.2024 [2 per cell]
Sn: 0.0000 0.0000 0.4008 [2 per cell]
Pd: 0.0000 0.5000 0.1041 [4 per cell]
Pd: 0.0000 0.5000 0.3014 [4 per cell]
Pd: 0.0000 0.5000 0.5000 [2 per cell]
Pd: 0.5000 0.5000 0.0000 [1 per cell]
Pd: 0.5000 0.5000 0.2029 [2 per cell]
Pd: 0.5000 0.5000 0.4007 [2 per cell]

***

Record 2
This entry pairs a crystal structure of Dy5SnPd2 with its simulated X-ray diffraction stick pattern. Radiation: Cu Kα X-rays. Structure: the PBE geometry in Alexandria.
Lines closer than 0.1° are merged.

Top 10 peaks for 10° ≤ 2θ ≤ 90°, low angle first:
- 2θ 31.07, 2.879 Å, I 18.2, (1 1 4)
- 2θ 32.40, 2.763 Å, I 100.0, (2 1 3)
- 2θ 35.13, 2.554 Å, I 24.5, (2 0 4)
- 2θ 36.27, 2.477 Å, I 51.7, (3 1 0)
- 2θ 42.30, 2.137 Å, I 12.0, (2 1 5)
- 2θ 52.27, 1.750 Å, I 17.6, (4 2 0)
- 2θ 54.41, 1.686 Å, I 12.6, (0 0 8)
- 2θ 56.87, 1.619 Å, I 12.8, (3 3 4)
- 2θ 67.20, 1.393 Å, I 12.2, (3 1 8)
- 2θ 67.71, 1.384 Å, I 19.1, (4 4 0)

Structure:
abc: 7.8314 7.8314 13.4793
angles: 90.00 90.00 90.00
Space group I4/mcm (No. 140)
Inequivalent atoms, fractional coordinates:
Dy: 0.0000 0.0000 0.0000 [4 per cell]
Dy: 0.1579 0.3421 0.1419 [16 per cell]
Sn: 0.0000 0.0000 0.2500 [4 per cell]
Pd: 0.1342 0.3658 0.5000 [8 per cell]

***

Record 3
This entry pairs a crystal structure of DySnPd5 with its simulated X-ray diffraction stick pattern. Radiation: Cu Kα X-rays. Structure: the PBE geometry in Alexandria.
Lines closer than 0.1° are merged.

Top 10 peaks for 10° ≤ 2θ ≤ 90°, low angle first:
- 2θ 24.50, 3.633 Å, I 28.3, (1 1 2)
- 2θ 38.57, 2.334 Å, I 100.0, (2 2 0)
- 2θ 38.89, 2.316 Å, I 96.9, (2 0 4)
- 2θ 44.01, 2.057 Å, I 68.1, (0 2 4)
- 2θ 47.00, 1.934 Å, I 28.4, (4 0 0)
- 2θ 63.55, 1.464 Å, I 11.4, (0 4 0)
- 2θ 64.42, 1.446 Å, I 12.7, (0 0 8)
- 2θ 66.34, 1.409 Å, I 39.7, (4 2 4)
- 2θ 77.07, 1.237 Å, I 26.0, (2 4 4)
- 2θ 77.68, 1.229 Å, I 24.7, (2 2 8)

Structure:
abc: 7.7341 5.8556 11.5680
angles: 90.00 90.00 90.00
Space group Cmcm (No. 63)
Inequivalent atoms, fractional coordinates:
Dy: 0.0000 0.0008 0.2500 [4 per cell]
Sn: 0.0000 0.5000 0.0000 [4 per cell]
Pd: 0.0000 0.5004 0.2500 [4 per cell]
Pd: 0.2498 0.2493 0.6199 [16 per cell]